# 1
Starting from a cell relaxed with PBE, the PXRD pattern of Li4PbN was simulated for Cu Ka.

Top 8 peaks for 2θ from 5° to 70°, in order of falling intensity:
- 24.3°, I 100.0
- 25.0°, I 89.6
- 27.3°, I 66.3
- 13.1°, I 65.6
- 27.7°, I 54.4
- 41.6°, I 52.5
- 46.1°, I 29.9
- 30.7°, I 28.3

Unit cell a=14.344 b=5.824 c=4.716 alpha=90.00 beta=109.18 gamma=90.00
Space group C2/m (No. 12)
Inequivalent atoms, fractional coordinates:
Li1 0.000 0.213 0.000 [4 per cell]
Li2 0.107 0.229 0.607 [8 per cell]
Li3 0.200 0.000 0.203 [4 per cell]
Pb1 0.185 0.500 0.182 [4 per cell]
N1 0.000 0.000 0.355 [4 per cell]

=====

# 2
Starting from a cell relaxed with PBE, the PXRD pattern of B5C3 was simulated for Cu Ka.

Top 8 peaks for 2θ from 5° to 70°, in order of falling intensity:
- 7.2°, I 100.0
- 21.8°, I 57.6
- 39.1°, I 16.4
- 14.5°, I 12.9
- 44.4°, I 8.3
- 41.5°, I 5.7
- 69.3°, I 4.0
- 69.8°, I 2.5

Unit cell a=4.710 b=2.695 c=12.243 alpha=90.00 beta=91.44 gamma=90.00
Space group Cm (No. 8)
Inequivalent atoms, fractional coordinates:
B1 0.000 0.000 0.000 [2 per cell]
B2 0.008 0.000 0.220 [2 per cell]
B3 0.177 0.500 0.137 [2 per cell]
B4 0.233 0.500 0.673 [2 per cell]
B5 0.350 0.000 0.358 [2 per cell]
C1 0.017 0.000 0.348 [2 per cell]
C2 0.168 0.500 0.010 [2 per cell]
C3 0.404 0.000 0.673 [2 per cell]

=====

# 3
Starting from a cell relaxed with PBE, the PXRD pattern of RbNbCl3 was simulated for Cu Ka.

Top 8 peaks for 2θ from 5° to 70°, in order of falling intensity:
- 32.1°, I 100.0
- 12.5°, I 94.5
- 10.6°, I 83.9
- 20.4°, I 60.3
- 36.7°, I 53.4
- 39.7°, I 51.4
- 26.6°, I 46.3
- 41.0°, I 42.6

Unit cell a=8.699 b=3.662 c=8.975 alpha=90.00 beta=106.59 gamma=90.00
Space group P2_1/m (No. 11)
Inequivalent atoms, fractional coordinates:
Rb1 0.203 0.250 0.390 [2 per cell]
Nb1 0.405 0.250 0.894 [2 per cell]
Cl1 0.110 0.250 0.721 [2 per cell]
Cl2 0.301 0.750 0.036 [2 per cell]
Cl3 0.441 0.750 0.675 [2 per cell]

=====

# 4
Starting from a cell relaxed with PBE, the PXRD pattern of Mg2CoW2 was simulated for Cu Ka.

Top 8 peaks for 2θ from 5° to 70°, in order of falling intensity:
- 26.1°, I 100.0
- 12.6°, I 78.2
- 38.4°, I 69.2
- 41.1°, I 67.0
- 36.1°, I 47.9
- 52.5°, I 34.1
- 68.3°, I 29.6
- 52.0°, I 27.8

Unit cell a=3.519 b=3.519 c=14.058 alpha=90.00 beta=90.00 gamma=90.00
Space group I4/mmm (No. 139)
Inequivalent atoms, fractional coordinates:
Mg1 0.000 0.500 0.250 [4 per cell]
Co1 0.000 0.000 0.000 [2 per cell]
W1 0.000 0.000 0.417 [4 per cell]

=====

# 5
Starting from a cell relaxed with PBE, the PXRD pattern of Li6SnPd6 was simulated for Cu Ka.

Top 8 peaks for 2θ from 5° to 70°, in order of falling intensity:
- 36.1°, I 100.0
- 42.0°, I 57.0
- 20.8°, I 47.8
- 37.8°, I 33.3
- 64.9°, I 17.7
- 48.6°, I 16.3
- 29.4°, I 15.4
- 56.7°, I 13.4

Unit cell a=4.9742 b=4.9742 c=8.5604 alpha=90.00 beta=90.00 gamma=120.00
Space group P6/mmm (No. 191)
Inequivalent atoms, fractional coordinates:
Li1 0.0000 0.5000 0.2501 [6 per cell]
Sn1 0.0000 0.0000 0.0000 [1 per cell]
Pd1 0.0000 0.0000 0.3471 [2 per cell]
Pd2 0.3333 0.6667 0.0000 [2 per cell]
Pd3 0.3333 0.6667 0.5000 [2 per cell]

=====

# 6
Starting from a cell relaxed with PBE, the PXRD pattern of SrTaTiO6 was simulated for Cu Ka.

Top 8 peaks for 2θ from 5° to 70°, in order of falling intensity:
- 25.2°, I 100.0
- 32.9°, I 79.5
- 49.5°, I 63.5
- 20.0°, I 44.3
- 35.9°, I 20.5
- 62.7°, I 18.4
- 51.7°, I 18.3
- 58.3°, I 16.0

Unit cell a=5.001 b=5.001 c=9.725 alpha=90.00 beta=90.00 gamma=90.00
Space group P4_2nm (No. 102)
Inequivalent atoms, fractional coordinates:
Sr1 0.000 0.000 0.000 [2 per cell]
Ta1 0.000 0.000 0.341 [2 per cell]
Ti1 0.000 0.000 0.665 [2 per cell]
O1 0.167 0.167 0.506 [4 per cell]
O2 0.226 0.226 0.797 [4 per cell]
O3 0.228 0.228 0.212 [4 per cell]

=====

# 7
Starting from a cell relaxed with PBE, the PXRD pattern of Pm5GeBi2 was simulated for Cu Ka.

Top 8 peaks for 2θ from 5° to 70°, in order of falling intensity:
- 28.8°, I 100.0
- 23.0°, I 76.4
- 33.1°, I 72.7
- 44.4°, I 66.9
- 37.2°, I 55.9
- 31.2°, I 52.2
- 37.7°, I 37.3
- 25.7°, I 30.5

Unit cell a=6.205 b=13.127 c=14.328 alpha=90.00 beta=90.00 gamma=90.00
Space group Cmcm (No. 63)
Inequivalent atoms, fractional coordinates:
Pm1 0.000 0.056 0.120 [8 per cell]
Pm2 0.000 0.315 0.750 [4 per cell]
Pm3 0.000 0.365 0.089 [8 per cell]
Ge1 0.000 0.224 0.250 [4 per cell]
Bi1 0.000 0.182 0.569 [8 per cell]

=====

# 8
Starting from a cell relaxed with PBE, the PXRD pattern of PmTm2Sn2 was simulated for Cu Ka.

Top 8 peaks for 2θ from 5° to 70°, in order of falling intensity:
- 30.4°, I 100.0
- 36.3°, I 38.5
- 37.2°, I 38.4
- 33.6°, I 37.0
- 33.4°, I 29.3
- 41.4°, I 22.8
- 27.4°, I 22.1
- 29.1°, I 21.0

Unit cell a=4.836 b=18.524 c=6.505 alpha=90.00 beta=90.00 gamma=90.00
Space group Cmc2_1 (No. 36)
Inequivalent atoms, fractional coordinates:
Pm1 0.000 0.112 0.000 [4 per cell]
Tm1 0.000 0.317 0.048 [4 per cell]
Tm2 0.000 0.491 0.759 [4 per cell]
Sn1 0.000 0.071 0.511 [4 per cell]
Sn2 0.000 0.291 0.565 [4 per cell]